Starting from a PBE-relaxed structure, the XRD peak list of CsKB2Br8 was simulated for a wavelength of 1.5418 Å.
No peak broadening, texture or thermal motion is included.

a = 6.7692 Å, b = 6.7692 Å, c = 10.8321 Å
α = 90.00°, β = 90.00°, γ = 120.00°
Atoms (fractional coordinates):
Cs 0.0000 0.0000 0.0000
K 0.0000 0.0000 0.5000
B 0.3333 0.6667 0.7620
B 0.6667 0.3333 0.2380
Br 0.0310 0.4030 0.7019
Br 0.3333 0.6667 0.9501
Br 0.3720 0.9690 0.7019
Br 0.4030 0.3720 0.2981
Br 0.5970 0.6280 0.7019
Br 0.6280 0.0310 0.2981
Br 0.6667 0.3333 0.0499
Br 0.9690 0.5970 0.2981

The 12 most intense peaks (2θ from 10° to 80°), low angle first:
| 2θ (°) | intensity | h k l |
| --- | --- | --- |
| 17.20 | 21 | 1 0 1 |
| 22.35 | 29 | 1 0 2 |
| 24.66 | 33 | 0 0 3 |
| 27.61 | 100 | 1 1 1 |
| 30.50 | 14 | 2 0 0 |
| 31.16 | 86 | 2 -1 2 |
| 36.38 | 11 | 2 -1 3 |
| 41.63 | 15 | 0 0 5 |
| 42.76 | 19 | 1 1 4 |
| 44.16 | 13 | 2 1 2 |
| 46.47 | 22 | 3 0 0 |
| 53.31 | 13 | 0 3 3 |